1.
# GdPS4
Theoretical X-ray powder pattern, a wavelength of 1.5418 Å. Input: a structure optimized by DFT (GGA-PBE).
Neutral-atom scattering factors, no anomalous dispersion.

Structural model:
Unit cell a=12.2943 b=12.2943 c=12.2943 alpha=127.40 beta=127.40 gamma=77.60
Element x y z (fractional)
1 Gd 0.1250 0.3750 0.7500
2 Gd 0.1250 0.8750 0.2500
3 Gd 0.3750 0.1250 0.2500
4 Gd 0.3750 0.6250 0.7500
5 Gd 0.6250 0.3750 0.2500
6 Gd 0.6250 0.8750 0.7500
7 Gd 0.8750 0.1250 0.7500
8 Gd 0.8750 0.6250 0.2500
9 P 0.2121 0.2500 0.4621
10 P 0.2500 0.2879 0.0379
11 P 0.2500 0.7879 0.5379
12 P 0.2879 0.7500 0.0379
13 P 0.7121 0.2500 0.9621
14 P 0.7500 0.2121 0.4621
15 P 0.7500 0.7121 0.9621
16 P 0.7879 0.7500 0.5379
17 S 0.0869 0.8834 0.4755
18 S 0.0920 0.3886 0.9755
19 S 0.0957 0.6639 0.9382
20 S 0.1114 0.4080 0.5245
21 S 0.1166 0.0920 0.2034
22 S 0.1575 0.0957 0.9319
23 S 0.1639 0.5957 0.4382
24 S 0.2256 0.1575 0.5618
25 S 0.2744 0.8361 0.9319
26 S 0.3361 0.7744 0.4319
27 S 0.3425 0.2744 0.9382
28 S 0.3834 0.5869 0.9755
29 S 0.3886 0.9131 0.2966
30 S 0.4043 0.3425 0.5681
31 S 0.4080 0.3834 0.2966
32 S 0.4131 0.8886 0.7966
33 S 0.5869 0.1114 0.2034
34 S 0.5920 0.6166 0.7034
35 S 0.5957 0.6575 0.4319
36 S 0.6114 0.0869 0.7034
37 S 0.6166 0.4131 0.0245
38 S 0.6575 0.7256 0.0618
39 S 0.6639 0.2256 0.5681
40 S 0.7256 0.1639 0.0681
41 S 0.7744 0.8425 0.4382
42 S 0.8361 0.4043 0.5618
43 S 0.8425 0.9043 0.0681
44 S 0.8834 0.9080 0.7966
45 S 0.8886 0.5920 0.4755
46 S 0.9043 0.3361 0.0618
47 S 0.9080 0.6114 0.0245
48 S 0.9131 0.1166 0.5245

Principal peaks in the range 5 to 70 degrees two-theta, low angle first:
two_theta, I (rel.)
16.27, 100
24.75, 63
29.76, 50
32.88, 21
36.90, 34
38.00, 43
41.17, 23
41.59, 53
53.66, 16
56.79, 17

---

2.
# SrGdP2
Theoretical X-ray powder pattern, a wavelength of 1.5418 Å. Input: a structure optimized by DFT (GGA-PBE).
Neutral-atom scattering factors, no anomalous dispersion.

Structural model:
Unit cell a=7.3741 b=7.3741 c=7.3741 alpha=32.94 beta=32.94 gamma=32.94
Element x y z (fractional)
1 Sr 0.0000 0.0000 0.0000
2 Gd 0.5000 0.5000 0.5000
3 P 0.2405 0.2405 0.2405
4 P 0.7595 0.7595 0.7595

Principal peaks in the range 5 to 70 degrees two-theta, low angle first:
two_theta, I (rel.)
12.70, 16
25.57, 18
26.04, 50
30.02, 100
42.67, 36
43.28, 36
50.41, 10
50.94, 17
53.57, 19
62.40, 12

---

3.
# GdYP2
Theoretical X-ray powder pattern, a wavelength of 1.5418 Å. Input: a structure optimized by DFT (GGA-PBE).
Neutral-atom scattering factors, no anomalous dispersion.

Structural model:
Unit cell a=6.9836 b=6.9836 c=6.9836 alpha=33.58 beta=33.58 gamma=33.58
Element x y z (fractional)
1 Gd 0.0000 0.0000 0.0000
2 Y 0.5000 0.5000 0.5000
3 P 0.2495 0.2495 0.2495
4 P 0.7505 0.7505 0.7505

Principal peaks in the range 5 to 70 degrees two-theta, low angle first:
two_theta, I (rel.)
13.45, 10
25.89, 7
27.07, 68
31.36, 100
34.26, 4
44.94, 72
47.12, 3
53.26, 33
55.83, 25
65.44, 12

---

4.
# GdY2P
Theoretical X-ray powder pattern, a wavelength of 1.5418 Å. Input: a structure optimized by DFT (GGA-PBE).
Neutral-atom scattering factors, no anomalous dispersion.

Structural model:
Unit cell a=10.3433 b=10.3433 c=10.3433 alpha=20.95 beta=20.95 gamma=20.95
Element x y z (fractional)
1 Gd 0.0000 0.0000 0.0000
2 Y 0.1132 0.1132 0.1132
3 Y 0.8868 0.8868 0.8868
4 P 0.5000 0.5000 0.5000

Principal peaks in the range 5 to 70 degrees two-theta, low angle first:
two_theta, I (rel.)
17.54, 17
26.44, 50
27.54, 100
28.02, 64
34.44, 24
36.36, 79
40.64, 49
48.40, 41
55.99, 37
65.01, 19

---

5.
# GdPb5
Theoretical X-ray powder pattern, a wavelength of 1.5418 Å. Input: a structure optimized by DFT (GGA-PBE).
Neutral-atom scattering factors, no anomalous dispersion.

Structural model:
Unit cell a=8.3003 b=8.3003 c=4.7058 alpha=90.00 beta=90.00 gamma=146.06
Element x y z (fractional)
1 Gd 0.0000 0.0000 0.0000
2 Pb 0.1682 0.8318 0.5000
3 Pb 0.3414 0.6586 0.0000
4 Pb 0.5000 0.5000 0.5000
5 Pb 0.6586 0.3414 0.0000
6 Pb 0.8318 0.1682 0.5000

Principal peaks in the range 5 to 70 degrees two-theta, low angle first:
two_theta, I (rel.)
31.43, 100
33.87, 20
37.12, 16
38.25, 15
51.12, 13
52.01, 12
59.08, 16
63.38, 14
64.92, 13
65.61, 12

---

6.
# RbGdPb2
Theoretical X-ray powder pattern, a wavelength of 1.5418 Å. Input: a structure optimized by DFT (GGA-PBE).
Neutral-atom scattering factors, no anomalous dispersion.

Structural model:
Unit cell a=4.1687 b=4.1687 c=8.3527 alpha=90.00 beta=90.00 gamma=90.00
Element x y z (fractional)
1 Rb 0.0000 0.0000 0.0000
2 Gd 0.0000 0.0000 0.5000
3 Pb 0.5000 0.5000 0.3111
4 Pb 0.5000 0.5000 0.6889

Principal peaks in the range 5 to 70 degrees two-theta, low angle first:
two_theta, I (rel.)
10.59, 27
21.31, 6
30.31, 100
32.19, 12
38.90, 20
43.41, 17
44.79, 10
53.85, 26
59.68, 15
63.06, 7